For Mg6CoSnO8, a structure optimized by DFT (PBE+U) gives the simulated PXRD pattern in this record (a wavelength of 1.5418 Å).

Atomic structure:
Cell: 4.3935 4.3935 8.8557 Å, 90.00 90.00 90.00°
Positions (direct):
Mg  0.0000  0.0000  0.0000
Mg  0.0000  0.0000  0.5000
Mg  0.0000  0.5000  0.2313
Mg  0.0000  0.5000  0.7687
Mg  0.5000  0.0000  0.2313
Mg  0.5000  0.0000  0.7687
Co  0.5000  0.5000  0.0000
Sn  0.5000  0.5000  0.5000
O  0.0000  0.0000  0.2495
O  0.0000  0.0000  0.7505
O  0.0000  0.5000  0.0000
O  0.0000  0.5000  0.5000
O  0.5000  0.0000  0.0000
O  0.5000  0.0000  0.5000
O  0.5000  0.5000  0.2440
O  0.5000  0.5000  0.7560

Most intense lines, 10 to 90 degrees two-theta, low angle first:
two_theta, Rel. int., index
20.05, 26, 0 0 2
20.21, 49, 1 0 0
28.62, 43, 1 0 2
35.29, 58, 1 1 2
40.76, 49, 0 0 4
41.09, 100, 2 0 0
46.16, 24, 2 0 2
59.26, 58, 2 0 4
59.51, 30, 2 2 0
74.64, 27, 2 2 4